[1]
Li2PS3: calculated PXRD pattern (CuKα), based on a crystal structure in the Materials Project, relaxed with GGA-PBE.

Structural model:
Lattice parameters (Å, degrees): 6.156 6.156 6.410 90.00 90.00 120.00
Element x y z (fractional)
Li (0.333, 0.667, 0.000)
Li (0.333, 0.667, 0.500)
Li (0.667, 0.333, 0.000)
Li (0.667, 0.333, 0.500)
P (0.000, 0.000, 0.199)
P (0.000, 0.000, 0.699)
S (0.000, 0.328, 0.241)
S (0.000, 0.672, 0.741)
S (0.328, 0.000, 0.241)
S (0.328, 0.328, 0.741)
S (0.672, 0.000, 0.741)
S (0.672, 0.672, 0.241)

Largest 6 diffraction maxima, in order of rising 2θ, 2θ from 5° to 70°:
- (1 0 0), 2θ = 16.6°, rel. 31
- (0 0 2), 2θ = 27.8°, rel. 48
- (1 1 1), 2θ = 32.3°, rel. 100
- (3 0 0), 2θ = 51.4°, rel. 31
- (1 1 3), 2θ = 52.1°, rel. 22
- (3 0 2), 2θ = 59.5°, rel. 26



[2]
CeSe2: calculated PXRD pattern (CuKα), based on a crystal structure in the Materials Project, relaxed with GGA-PBE.

Structural model:
Lattice parameters (Å, degrees): 8.165 11.818 11.831 114.00 102.47 102.78
Element x y z (fractional)
Ce (0.000, 0.000, 0.000)
Ce (0.002, 0.647, 0.593)
Ce (0.374, 0.511, 0.292)
Ce (0.385, 0.752, 0.017)
Se (0.123, 0.269, 0.115)
Se (0.157, 0.574, 0.768)
Se (0.207, 0.910, 0.130)
Se (0.212, 0.657, 0.443)
Se (0.498, 0.632, 0.159)
Se (0.655, 0.486, 0.441)
Se (0.662, 0.913, 0.000)
Se (0.998, 0.891, 0.748)

Largest 6 diffraction maxima, in order of rising 2θ, 2θ from 5° to 70°:
- (0 1 0), 2θ = 8.7°, rel. 100
- (0 1 -1), 2θ = 8.9°, rel. 81
- (1 0 -1), 2θ = 12.0°, rel. 35
- (1 -1 1), 2θ = 14.8°, rel. 30
- (-1 1 1), 2θ = 15.0°, rel. 40
- (1 1 -2), 2θ = 17.5°, rel. 32



[3]
MgSi: calculated PXRD pattern (CuKα), based on a crystal structure in the Materials Project, relaxed with GGA-PBE.

Structural model:
Lattice parameters (Å, degrees): 10.661 2.966 4.776 90.00 110.25 90.00
Element x y z (fractional)
Mg (0.106, 0.000, 0.314)
Mg (0.394, 0.500, 0.686)
Mg (0.606, 0.500, 0.314)
Mg (0.894, 0.000, 0.686)
Si (0.152, 0.500, 0.842)
Si (0.348, 0.000, 0.158)
Si (0.652, 0.000, 0.842)
Si (0.848, 0.500, 0.158)

Largest 6 diffraction maxima, in order of rising 2θ, 2θ from 5° to 70°:
- (4 0 0), 2θ = 35.9°, rel. 50
- (2 0 -2), 2θ = 37.9°, rel. 39
- (1 1 1), 2θ = 39.2°, rel. 100
- (0 0 2), 2θ = 40.3°, rel. 15
- (3 1 -1), 2θ = 41.1°, rel. 74
- (2 0 2), 2θ = 50.0°, rel. 16



What did the third record say?
MgSi: calculated PXRD pattern (CuKα), based on a crystal structure in the Materials Project, relaxed with GGA-PBE.

Structural model:
Lattice parameters (Å, degrees): 10.661 2.966 4.776 90.00 110.25 90.00
Element x y z (fractional)
Mg (0.106, 0.000, 0.314)
Mg (0.394, 0.500, 0.686)
Mg (0.606, 0.500, 0.314)
Mg (0.894, 0.000, 0.686)
Si (0.152, 0.500, 0.842)
Si (0.348, 0.000, 0.158)
Si (0.652, 0.000, 0.842)
Si (0.848, 0.500, 0.158)

Largest 6 diffraction maxima, in order of rising 2θ, 2θ from 5° to 70°:
- (4 0 0), 2θ = 35.9°, rel. 50
- (2 0 -2), 2θ = 37.9°, rel. 39
- (1 1 1), 2θ = 39.2°, rel. 100
- (0 0 2), 2θ = 40.3°, rel. 15
- (3 1 -1), 2θ = 41.1°, rel. 74
- (2 0 2), 2θ = 50.0°, rel. 16



What did the first record say?
Li2PS3: calculated PXRD pattern (CuKα), based on a crystal structure in the Materials Project, relaxed with GGA-PBE.

Structural model:
Lattice parameters (Å, degrees): 6.156 6.156 6.410 90.00 90.00 120.00
Element x y z (fractional)
Li (0.333, 0.667, 0.000)
Li (0.333, 0.667, 0.500)
Li (0.667, 0.333, 0.000)
Li (0.667, 0.333, 0.500)
P (0.000, 0.000, 0.199)
P (0.000, 0.000, 0.699)
S (0.000, 0.328, 0.241)
S (0.000, 0.672, 0.741)
S (0.328, 0.000, 0.241)
S (0.328, 0.328, 0.741)
S (0.672, 0.000, 0.741)
S (0.672, 0.672, 0.241)

Largest 6 diffraction maxima, in order of rising 2θ, 2θ from 5° to 70°:
- (1 0 0), 2θ = 16.6°, rel. 31
- (0 0 2), 2θ = 27.8°, rel. 48
- (1 1 1), 2θ = 32.3°, rel. 100
- (3 0 0), 2θ = 51.4°, rel. 31
- (1 1 3), 2θ = 52.1°, rel. 22
- (3 0 2), 2θ = 59.5°, rel. 26